1.
KLiEuPb: calculated X-ray diffraction stick pattern (Cu Ka), based on DFT lattice parameters and positions (PBE).
Peak positions follow from Bragg's law for the DFT cell and can differ from measured ones.

Structure:
```
data_KLiEuPb
_chemical_formula_sum 'K4 Li4 Eu4 Pb4'
_space_group_name_H-M_alt 'F -4 3 m'
_space_group_IT_number 216
_space_group_name_Hall 'F -4 2 3'
_cell_length_a 7.890
_cell_length_b 7.890
_cell_length_c 7.890
_cell_angle_alpha 90.00
_cell_angle_beta 90.00
_cell_angle_gamma 90.00
loop_
_atom_site_label
_atom_site_fract_x
_atom_site_fract_y
_atom_site_fract_z
_atom_site_occupancy
K1 0.000 0.000 0.000 1
Li1 0.250 0.250 0.750 1
Eu1 0.250 0.250 0.250 1
Pb1 0.000 0.000 0.500 1
```

Main lines, by intensity (2θ from 5° to 70°):
- d = 2.789 Å, 2θ 32.09, rel. 100.0, hkl 2 2 0
- d = 4.555 Å, 2θ 19.49, rel. 65.1, hkl 1 1 1
- d = 2.379 Å, 2θ 37.82, rel. 38.9, hkl 3 1 1
- d = 1.610 Å, 2θ 57.20, rel. 38.5, hkl 4 2 2
- d = 1.972 Å, 2θ 46.02, rel. 18.4, hkl 4 0 0
- d = 1.810 Å, 2θ 50.42, rel. 17.5, hkl 3 3 1
- d = 1.518 Å, 2θ 61.03, rel. 13.4, hkl 5 1 1
- d = 1.395 Å, 2θ 67.11, rel. 11.9, hkl 4 4 0
- d = 3.945 Å, 2θ 22.54, rel. 5.7, hkl 2 0 0
- d = 1.764 Å, 2θ 51.82, rel. 2.5, hkl 4 2 0

=====

2.
BaNp2RhS4: calculated X-ray diffraction stick pattern (Cu Ka), based on DFT lattice parameters and positions (PBE).
Peak positions follow from Bragg's law for the DFT cell and can differ from measured ones.

Structure:
```
data_BaNp2RhS4
_chemical_formula_sum 'Ba4 Np8 Rh4 S16'
_space_group_name_H-M_alt 'C m c m'
_space_group_IT_number 63
_space_group_name_Hall '-C 2c 2'
_cell_length_a 4.024
_cell_length_b 13.330
_cell_length_c 13.638
_cell_angle_alpha 90.00
_cell_angle_beta 90.00
_cell_angle_gamma 90.00
loop_
_atom_site_label
_atom_site_fract_x
_atom_site_fract_y
_atom_site_fract_z
_atom_site_occupancy
Ba1 0.000 0.108 0.250 1
Np1 0.000 0.367 0.063 1
Rh1 0.000 0.162 0.750 1
S1 0.000 0.000 0.000 1
S2 0.000 0.265 0.607 1
S3 0.000 0.433 0.250 1
```

Main lines, by intensity (2θ from 5° to 70°):
- d = 2.733 Å, 2θ 32.77, rel. 100.0, hkl 1 3 2
- d = 3.756 Å, 2θ 23.69, rel. 89.6, hkl 0 2 3
- d = 1.996 Å, 2θ 45.43, rel. 75.2, hkl 0 6 3
- d = 3.354 Å, 2θ 26.57, rel. 73.8, hkl 1 1 2
- d = 2.012 Å, 2θ 45.05, rel. 58.2, hkl 2 0 0
- d = 3.332 Å, 2θ 26.75, rel. 55.3, hkl 0 4 0
- d = 2.914 Å, 2θ 30.68, rel. 43.9, hkl 1 3 1
- d = 5.988 Å, 2θ 14.79, rel. 39.7, hkl 0 2 1
- d = 1.722 Å, 2θ 53.18, rel. 34.5, hkl 2 4 0
- d = 2.939 Å, 2θ 30.41, rel. 34.0, hkl 1 1 3